This entry pairs a crystal structure of SrCa2TlO with its simulated powder X-ray diffraction pattern. Radiation: Cu Kα (λ = 1.5418 Å). Structure: a crystal structure in Alexandria, relaxed with GGA-PBE.
Intensities are scaled so that the largest is 100.

Crystal structure
Cell: 4.8999 4.8999 5.2652 Å, 90.00 90.00 90.00°
Atoms (fractional coordinates):
1 Sr 0.0000 0.0000 0.0000
2 Ca 0.0000 0.5000 0.5000
3 Ca 0.5000 0.0000 0.5000
4 Tl 0.5000 0.5000 0.0000
5 O 0.0000 0.0000 0.5000

Most intense lines, 2θ from 10° to 90°, by angle:
hkl 0 0 1, 2θ 16.8, I = 27; hkl 1 1 0, 2θ 25.7, I = 30; hkl 1 1 1, 2θ 30.9, I = 100; hkl 2 0 0, 2θ 36.7, I = 38; hkl 2 0 2, 2θ 50.9, I = 29; hkl 3 1 1, 2θ 62.5, I = 27